TmPu3Zn8: calculated XRD peak list (Cu Kα), based on a cell relaxed with PBE.
No peak broadening, texture or thermal motion is included.

Most intense lines, 5° ≤ 2θ ≤ 70°, most intense first:
- (1 0 3), 36.2°, I = 100
- (1 1 2), 38.8°, I = 96
- (1 1 0), 32.7°, I = 73
- (0 2 1), 39.4°, I = 52
- (2 1 3), 60.7°, I = 45
- (0 2 5), 66.5°, I = 26
- (3 0 2), 62.5°, I = 24
- (2 2 0), 68.6°, I = 23
- (1 0 0), 18.7°, I = 19
- (1 0 1), 21.3°, I = 18

Cell and atoms:
```
data_TmPu3Zn8
_chemical_formula_sum 'Tm1 Pu3 Zn8'
_cell_length_a 5.470
_cell_length_b 5.470
_cell_length_c 8.741
_cell_angle_alpha 90.00
_cell_angle_beta 90.00
_cell_angle_gamma 120.00
_symmetry_space_group_name_H-M 'P 1'
_symmetry_Int_Tables_number 1
loop_
_symmetry_equiv_pos_as_xyz
'x,y,z'
loop_
_atom_site_label
_atom_site_type_symbol
_atom_site_fract_x
_atom_site_fract_y
_atom_site_fract_z
Tm1 Tm 0.000 0.000 0.000
Pu1 Pu 0.000 0.000 0.379
Pu2 Pu 0.667 0.333 0.491
Pu3 Pu 0.667 0.333 0.854
Zn1 Zn 0.166 0.333 0.683
Zn2 Zn 0.166 0.834 0.683
Zn3 Zn 0.333 0.667 0.427
Zn4 Zn 0.333 0.667 0.930
Zn5 Zn 0.502 0.003 0.177
Zn6 Zn 0.502 0.498 0.177
Zn7 Zn 0.667 0.834 0.683
Zn8 Zn 0.997 0.498 0.177
```